TlIn3Pb2: simulated PXRD pattern (a wavelength of 1.5418 Å), based on a DFT-relaxed cell (GGA-PBE, Alexandria).
Neutral-atom scattering factors, no anomalous dispersion.

Atomic structure:
abc: 5.849 6.416 9.656
angles: 90.00 90.00 90.00
Space group Pmma (No. 51)
Inequivalent atoms, fractional coordinates:
1 Tl 0.250 0.000 0.079 [2 per cell]
2 In 0.000 0.500 0.500 [2 per cell]
3 In 0.250 0.247 0.765 [4 per cell]
4 Pb 0.250 0.000 0.419 [2 per cell]
5 Pb 0.250 0.500 0.171 [2 per cell]

The 10 most intense peaks (2θ from 15° to 90°), low angle first:
two_theta  Rel. int.  index
27.71  29  0 0 3
27.81  25  0 2 0
30.57  44  2 0 0
31.73  57  1 0 3
33.17  100  1 2 1
33.54  27  0 2 2
34.75  43  1 1 3
38.63  35  2 1 2
56.01  23  3 2 1
57.21  21  2 2 4